This entry pairs a crystal structure of FeGeI4 with its simulated powder X-ray diffraction pattern. Radiation: Cu Kα. Structure: a GGA-PBE-relaxed structure.
Kinematic intensities with the Lorentz-polarization factor, no thermal factor.

Peak list (10 most intense, 2θ from 10° to 80°, in order of rising 2θ)
| d (Å) | 2theta | I/Imax | hkl |
| --- | --- | --- | --- |
| 3.551 | 25.08 | 88 | 2 0 2 |
| 3.442 | 25.89 | 92 | 0 2 2 |
| 3.034 | 29.44 | 91 | 2 2 0 |
| 3.012 | 29.66 | 46 | 0 0 4 |
| 2.198 | 41.07 | 28 | 4 0 0 |
| 2.138 | 42.28 | 100 | 2 2 4 |
| 2.097 | 43.14 | 24 | 0 4 0 |
| 1.852 | 49.19 | 31 | 4 2 2 |
| 1.806 | 50.55 | 25 | 2 4 2 |
| 1.775 | 51.47 | 19 | 4 0 4 |

Structure:
```
data_FeGeI4
_chemical_formula_sum 'Fe4 Ge4 I16'
_symmetry_space_group_name_H-M 'P n m a'
_symmetry_Int_Tables_number 62
_symmetry_space_group_name_Hall '-P 2ac 2n'
_cell_length_a 8.791
_cell_length_b 8.388
_cell_length_c 12.049
_cell_angle_alpha 90.00
_cell_angle_beta 90.00
_cell_angle_gamma 90.00
loop_
_atom_site_label
_atom_site_fract_x
_atom_site_fract_y
_atom_site_fract_z
_atom_site_occupancy
Fe1 0.001 0.250 0.108 1
Ge1 0.249 0.250 0.750 1
I1 0.001 0.006 0.252 1
I2 0.247 0.750 0.499 1
I3 0.248 0.250 0.501 1
```

This entry pairs a crystal structure of InFeGe2 with its simulated powder X-ray diffraction pattern. Radiation: Cu Kα. Structure: a GGA-PBE-relaxed structure.
Kinematic intensities with the Lorentz-polarization factor, no thermal factor.

Peak list (10 most intense, 2θ from 10° to 80°, in order of rising 2θ)
| d (Å) | 2theta | I/Imax | hkl |
| --- | --- | --- | --- |
| 2.787 | 32.12 | 16 | 0 0 9 |
| 2.519 | 35.64 | 100 | 1 0 4 |
| 2.412 | 37.28 | 18 | 0 1 5 |
| 2.090 | 43.29 | 8 | 0 0 12 |
| 2.068 | 43.78 | 41 | 0 1 8 |
| 1.588 | 58.08 | 26 | 1 1 0 |
| 1.580 | 58.43 | 11 | 1 0 13 |
| 1.380 | 67.93 | 11 | 1 1 9 |
| 1.343 | 70.04 | 13 | 0 2 4 |
| 1.265 | 75.13 | 9 | 1 1 12 |

Structure:
```
data_InFeGe2
_chemical_formula_sum 'In3 Fe3 Ge6'
_symmetry_space_group_name_H-M 'R -3 m'
_symmetry_Int_Tables_number 166
_symmetry_space_group_name_Hall '-R 3 2"'
_cell_length_a 3.1763
_cell_length_b 3.1763
_cell_length_c 25.0817
_cell_angle_alpha 90.00
_cell_angle_beta 90.00
_cell_angle_gamma 120.00
loop_
_atom_site_label
_atom_site_fract_x
_atom_site_fract_y
_atom_site_fract_z
_atom_site_occupancy
In1 0.0000 0.0000 0.0000 1
Fe1 0.0000 0.0000 0.5000 1
Ge1 0.0000 0.0000 0.2316 1
```

This entry pairs a crystal structure of La2FeGe6 with its simulated powder X-ray diffraction pattern. Radiation: Cu Kα. Structure: a GGA-PBE-relaxed structure.
Kinematic intensities with the Lorentz-polarization factor, no thermal factor.

Peak list (10 most intense, 2θ from 10° to 80°, in order of rising 2θ)
| d (Å) | 2theta | I/Imax | hkl |
| --- | --- | --- | --- |
| 4.046 | 21.97 | 46 | 1 3 0 |
| 3.297 | 27.05 | 64 | 1 1 1 |
| 2.768 | 32.35 | 100 | 1 3 1 |
| 2.503 | 35.88 | 89 | 2 2 1 |
| 2.467 | 36.42 | 29 | 3 1 0 |
| 2.401 | 37.46 | 52 | 0 6 0 |
| 2.220 | 40.64 | 50 | 3 3 0 |
| 2.144 | 42.14 | 52 | 2 4 1 |
| 1.897 | 47.96 | 36 | 0 0 2 |
| 1.692 | 54.22 | 27 | 3 5 1 |

Structure:
```
data_La2FeGe6
_chemical_formula_sum 'La4 Fe2 Ge12'
_symmetry_space_group_name_H-M 'C m m m'
_symmetry_Int_Tables_number 65
_symmetry_space_group_name_Hall '-C 2 2'
_cell_length_a 7.512
_cell_length_b 14.406
_cell_length_c 3.794
_cell_angle_alpha 90.00
_cell_angle_beta 90.00
_cell_angle_gamma 90.00
loop_
_atom_site_label
_atom_site_fract_x
_atom_site_fract_y
_atom_site_fract_z
_atom_site_occupancy
La1 0.000 0.179 0.000 1
Fe1 0.000 0.500 0.500 1
Ge1 0.168 0.355 0.500 1
Ge2 0.216 0.500 0.000 1
```

This entry pairs a crystal structure of LaFe9Ge4 with its simulated powder X-ray diffraction pattern. Radiation: Cu Kα. Structure: a GGA-PBE-relaxed structure.
Kinematic intensities with the Lorentz-polarization factor, no thermal factor.

Peak list (10 most intense, 2θ from 10° to 80°, in order of rising 2θ)
| d (Å) | 2theta | I/Imax | hkl |
| --- | --- | --- | --- |
| 2.636 | 34.02 | 37 | 1 1 4 |
| 2.580 | 34.77 | 30 | 2 2 2 |
| 2.562 | 35.02 | 29 | 3 1 0 |
| 2.394 | 37.56 | 67 | 2 0 4 |
| 2.352 | 38.26 | 100 | 3 1 2 |
| 1.986 | 45.68 | 51 | 2 1 5 |
| 1.954 | 46.47 | 67 | 3 2 3 |
| 1.939 | 46.86 | 80 | 4 1 1 |
| 1.673 | 54.87 | 19 | 4 0 4 |
| 1.284 | 73.80 | 17 | 4 1 7 |

Structure:
```
data_LaFe9Ge4
_chemical_formula_sum 'La4 Fe36 Ge16'
_symmetry_space_group_name_H-M 'I 4/m c m'
_symmetry_Int_Tables_number 140
_symmetry_space_group_name_Hall '-I 4 2c'
_cell_length_a 8.102
_cell_length_b 8.102
_cell_length_c 11.874
_cell_angle_alpha 90.00
_cell_angle_beta 90.00
_cell_angle_gamma 90.00
loop_
_atom_site_label
_atom_site_fract_x
_atom_site_fract_y
_atom_site_fract_z
_atom_site_occupancy
La1 0.000 0.000 0.250 1
Fe1 0.000 0.500 0.000 1
Fe2 0.063 0.201 0.000 1
Fe3 0.112 0.388 0.175 1
Ge1 0.182 0.318 0.374 1
```